1.
Starting from a structure optimized by DFT (PBE), the PXRD pattern of Zr2Si4Ni3 was simulated for CuKα.

Atomic structure:
```
Zr2Si4Ni3
1.0
2.5971 -6.8856 0.0000
2.5971 6.8856 0.0000
0.0000 0.0000 6.9039
Zr Si Ni
4 8 6
Direct
0.1044 0.8956 0.9016
0.3956 0.6044 0.4016
0.6044 0.3956 0.5984
0.8956 0.1044 0.0984
0.1825 0.8175 0.5231
0.1885 0.3115 0.7500
0.3115 0.1885 0.2500
0.3175 0.6825 0.0231
0.6825 0.3175 0.9769
0.6885 0.8115 0.7500
0.8115 0.6885 0.2500
0.8175 0.1825 0.4769
0.0000 0.0000 0.5000
0.0229 0.4771 0.7500
0.4771 0.0229 0.2500
0.5000 0.5000 0.0000
0.5229 0.9771 0.7500
0.9771 0.5229 0.2500
```

Top 8 peaks for 2θ from 10° to 80°, low angle first:
two_theta  Rel. int.
28.96  31
36.89  37
39.27  100
41.40  46
43.62  61
59.96  14
65.04  15
68.07  15

***

2.
Starting from a structure optimized by DFT (PBE), the PXRD pattern of Sm2Ni17 was simulated for CuKα.

Atomic structure:
```
Sm2Ni17
1.0
8.3081 0.0000 0.0000
-4.1540 7.1950 0.0000
0.0000 0.0000 8.0420
Sm Ni
4 34
Direct
0.0000 0.0000 0.2500
0.0000 0.0000 0.7500
0.3333 0.6667 0.2500
0.6667 0.3333 0.7500
0.0000 0.5000 0.0000
0.0000 0.5000 0.5000
0.0415 0.3699 0.7500
0.0415 0.6716 0.7500
0.1661 0.3322 0.0166
0.1661 0.3322 0.4834
0.1661 0.8339 0.0166
0.1661 0.8339 0.4834
0.3284 0.3699 0.7500
0.3284 0.9585 0.7500
0.3322 0.1661 0.5166
0.3322 0.1661 0.9834
0.3333 0.6667 0.6041
0.3333 0.6667 0.8959
0.3699 0.0415 0.2500
0.3699 0.3284 0.2500
0.5000 0.0000 0.0000
0.5000 0.0000 0.5000
0.5000 0.5000 0.0000
0.5000 0.5000 0.5000
0.6301 0.6716 0.7500
0.6301 0.9585 0.7500
0.6667 0.3333 0.1041
0.6667 0.3333 0.3959
0.6678 0.8339 0.0166
0.6678 0.8339 0.4834
0.6716 0.0415 0.2500
0.6716 0.6301 0.2500
0.8339 0.1661 0.5166
0.8339 0.1661 0.9834
0.8339 0.6678 0.5166
0.8339 0.6678 0.9834
0.9585 0.3284 0.2500
0.9585 0.6301 0.2500
```

Top 8 peaks for 2θ from 10° to 80°, low angle first:
two_theta  Rel. int.
30.95  33
37.50  40
42.03  34
43.58  61
43.96  100
45.09  32
49.39  25
64.51  17

***

3.
Starting from a structure optimized by DFT (PBE), the PXRD pattern of SmNi was simulated for CuKα.

Atomic structure:
```
SmNi
1.0
1.8787 -5.2150 0.0000
1.8787 5.2150 0.0000
0.0000 0.0000 4.3024
Sm Ni
2 2
Direct
0.1386 0.8614 0.7500
0.8614 0.1386 0.2500
0.4271 0.5729 0.7500
0.5729 0.4271 0.2500
```

Top 8 peaks for 2θ from 10° to 80°, low angle first:
two_theta  Rel. int.
26.86  37
32.79  100
34.39  27
35.17  41
41.13  51
42.00  28
48.45  19
55.90  21

***

4.
Starting from a structure optimized by DFT (PBE), the PXRD pattern of Sm3Ni6Sn4 was simulated for CuKα.

Atomic structure:
```
Sm3Ni6Sn4
1.0
8.8842 0.0000 0.0000
-4.4421 7.6940 0.0000
0.0000 0.0000 7.5340
Sm Ni Sn
6 12 8
Direct
0.0462 0.5231 0.0000
0.4769 0.5231 0.0000
0.4769 0.9538 0.0000
0.5231 0.0462 0.5000
0.5231 0.4769 0.5000
0.9538 0.4769 0.5000
0.0960 0.1920 0.0158
0.0960 0.9040 0.0158
0.1661 0.3322 0.3404
0.1661 0.8339 0.3404
0.1920 0.0960 0.5158
0.3322 0.1661 0.8404
0.6678 0.8339 0.3404
0.8080 0.9040 0.0158
0.8339 0.1661 0.8404
0.8339 0.6678 0.8404
0.9040 0.0960 0.5158
0.9040 0.8080 0.5158
0.1597 0.3195 0.7045
0.1597 0.8403 0.7045
0.3195 0.1597 0.2045
0.3333 0.6667 0.3134
0.6667 0.3333 0.8134
0.6805 0.8403 0.7045
0.8403 0.1597 0.2045
0.8403 0.6805 0.2045
```

Top 8 peaks for 2θ from 10° to 80°, low angle first:
two_theta  Rel. int.
26.01  29
33.02  19
33.29  100
37.03  26
37.68  18
40.62  65
43.01  27
64.53  20

***

5.
Starting from a structure optimized by DFT (PBE), the PXRD pattern of SmNi3Sn2 was simulated for CuKα.

Atomic structure:
```
SmNi3Sn2
1.0
9.3362 0.0000 0.0000
-4.6681 8.0854 0.0000
0.0000 0.0000 4.2652
Sm Ni Sn
3 9 6
Direct
0.0000 0.0000 0.0000
0.3333 0.6667 0.5000
0.6667 0.3333 0.5000
0.0000 0.7054 0.5000
0.1665 0.3724 0.0000
0.2059 0.8335 0.0000
0.2946 0.2946 0.5000
0.3724 0.1665 0.0000
0.6276 0.7941 0.0000
0.7054 0.0000 0.5000
0.7941 0.6276 0.0000
0.8335 0.2059 0.0000
0.0000 0.2559 0.5000
0.0000 0.5295 0.0000
0.2559 0.0000 0.5000
0.4705 0.4705 0.0000
0.5295 0.0000 0.0000
0.7441 0.7441 0.5000
```

Top 8 peaks for 2θ from 10° to 80°, low angle first:
two_theta  Rel. int.
30.47  100
33.24  30
36.16  77
38.57  51
39.55  57
42.38  53
44.24  41
58.64  29

***

6.
Starting from a structure optimized by DFT (PBE), the PXRD pattern of SmNi3Sn2 was simulated for CuKα.

Atomic structure:
```
SmNi3Sn2
1.0
9.5825 0.0000 0.0000
-4.7912 8.2987 0.0000
0.0000 0.0000 4.1024
Sm Ni Sn
3 9 6
Direct
0.0000 0.0000 0.0000
0.3333 0.6667 0.5000
0.6667 0.3333 0.5000
0.0000 0.5000 0.0000
0.1851 0.3702 0.0000
0.1851 0.8149 0.0000
0.3702 0.1851 0.0000
0.5000 0.0000 0.0000
0.5000 0.5000 0.0000
0.6298 0.8149 0.0000
0.8149 0.1851 0.0000
0.8149 0.6298 0.0000
0.0000 0.3226 0.5000
0.0000 0.6774 0.5000
0.3226 0.0000 0.5000
0.3226 0.3226 0.5000
0.6774 0.0000 0.5000
0.6774 0.6774 0.5000
```

Top 8 peaks for 2θ from 10° to 80°, low angle first:
two_theta  Rel. int.
30.65  22
32.36  66
36.05  37
39.28  100
43.76  34
44.15  32
55.80  29
67.75  21